Simulated powder diffractogram of TaCr3Cu2S8 for a wavelength of 1.5418 Å, from a structure optimized by DFT (GGA-PBE).
Kinematic intensities with the Lorentz-polarization factor, no thermal factor.

Cell and atoms:
a b c (Å): 11.9558 7.1250 6.9604
angles (deg): 90.00 123.65 90.00
Space group C2 (No. 5)
Asymmetric unit:
Ta1 0.0000 0.0000 0.0000 (multiplicity 2)
Cr1 0.0000 0.0086 0.5000 (multiplicity 2)
Cr2 0.2489 0.7591 0.0005 (multiplicity 4)
Cu1 0.1261 0.5034 0.3744 (multiplicity 4)
S1 0.0053 0.7659 0.7502 (multiplicity 4)
S2 0.0089 0.2459 0.7555 (multiplicity 4)
S3 0.2403 0.0076 0.7597 (multiplicity 4)
S4 0.2470 0.0102 0.2326 (multiplicity 4)

Principal peaks in the range 2θ = 10–90°, by angle:
- 2θ 15.29, d = 5.794 Å, intensity 522, hkl 1 1 0
- 2θ 17.82, d = 4.977 Å, intensity 232, hkl 1 1 -1
- 2θ 25.00, d = 3.562 Å, intensity 506, hkl 1 1 1
- 2θ 29.70, d = 3.008 Å, intensity 1000, hkl 3 1 0
- 2θ 30.23, d = 2.956 Å, intensity 489, hkl 4 0 -1
- 2θ 36.09, d = 2.489 Å, intensity 591, hkl 4 0 0
- 2θ 47.06, d = 1.931 Å, intensity 279, hkl 4 0 1
- 2θ 47.42, d = 1.917 Å, intensity 331, hkl 5 1 0
- 2θ 51.29, d = 1.781 Å, intensity 518, hkl 2 2 2
- 2θ 52.64, d = 1.739 Å, intensity 467, hkl 4 0 -4

Simulated powder diffractogram of TaCr3Cu2S8 for a wavelength of 1.5418 Å, from a structure optimized by DFT (GGA-PBE).
Kinematic intensities with the Lorentz-polarization factor, no thermal factor.

Cell and atoms:
a b c (Å): 7.0550 5.7247 12.0423
angles (deg): 90.00 90.00 90.00
Space group Pmc2_1 (No. 26)
Asymmetric unit:
Ta1 0.0000 0.2268 0.0000 (multiplicity 2)
Cr1 0.2534 0.2569 0.7464 (multiplicity 4)
Cr2 0.5000 0.2718 0.4899 (multiplicity 2)
Cu1 0.0000 0.1436 0.3448 (multiplicity 2)
Cu2 0.5000 0.3313 0.1575 (multiplicity 2)
S1 0.0000 0.0127 0.6627 (multiplicity 2)
S2 0.0000 0.4692 0.8294 (multiplicity 2)
S3 0.2447 0.4882 0.5775 (multiplicity 4)
S4 0.2636 0.0136 0.9150 (multiplicity 4)
S5 0.5000 0.0540 0.6572 (multiplicity 2)
S6 0.5000 0.4931 0.8252 (multiplicity 2)

Principal peaks in the range 2θ = 10–90°, by angle:
- 2θ 17.15, d = 5.170 Å, intensity 267, hkl 0 1 1
- 2θ 19.38, d = 4.580 Å, intensity 389, hkl 1 0 2
- 2θ 21.31, d = 4.170 Å, intensity 649, hkl 1 1 1
- 2θ 29.99, d = 2.979 Å, intensity 1000, hkl 1 1 3
- 2θ 30.68, d = 2.914 Å, intensity 463, hkl 2 1 1
- 2θ 43.40, d = 2.085 Å, intensity 619, hkl 2 2 2
- 2θ 43.63, d = 2.074 Å, intensity 273, hkl 0 2 4
- 2θ 47.54, d = 1.913 Å, intensity 276, hkl 3 1 3
- 2θ 51.84, d = 1.764 Å, intensity 261, hkl 4 0 0
- 2θ 52.45, d = 1.744 Å, intensity 466, hkl 2 0 6

Simulated powder diffractogram of TaCr3Cu2S8 for a wavelength of 1.5418 Å, from a structure optimized by DFT (GGA-PBE).
Kinematic intensities with the Lorentz-polarization factor, no thermal factor.

Cell and atoms:
a b c (Å): 3.4483 12.5105 12.3740
angles (deg): 90.00 90.00 90.00
Space group Pmn2_1 (No. 31)
Asymmetric unit:
Ta1 0.0000 0.0814 0.0000 (multiplicity 2)
Cr1 0.0000 0.2583 0.5077 (multiplicity 2)
Cr2 0.0000 0.5758 0.8415 (multiplicity 2)
Cr3 0.0000 0.7461 0.3286 (multiplicity 2)
Cu1 0.0000 0.4062 0.6763 (multiplicity 2)
Cu2 0.0000 0.9363 0.8142 (multiplicity 2)
S1 0.0000 0.2220 0.7007 (multiplicity 2)
S2 0.0000 0.2690 0.9672 (multiplicity 2)
S3 0.0000 0.3002 0.3186 (multiplicity 2)
S4 0.0000 0.5539 0.3029 (multiplicity 2)
S5 0.0000 0.6025 0.0262 (multiplicity 2)
S6 0.0000 0.8709 0.9850 (multiplicity 2)
S7 0.0000 0.9182 0.6363 (multiplicity 2)
S8 0.0000 0.9364 0.3526 (multiplicity 2)

Principal peaks in the range 2θ = 10–90°, by angle:
- 2θ 14.32, d = 6.187 Å, intensity 310, hkl 0 0 2
- 2θ 15.88, d = 5.583 Å, intensity 1000, hkl 0 2 1
- 2θ 15.98, d = 5.546 Å, intensity 584, hkl 0 1 2
- 2θ 29.46, d = 3.032 Å, intensity 323, hkl 0 4 1
- 2θ 30.49, d = 2.932 Å, intensity 814, hkl 0 3 3
- 2θ 33.88, d = 2.646 Å, intensity 405, hkl 1 0 3
- 2θ 43.40, d = 2.085 Å, intensity 246, hkl 0 6 0
- 2θ 43.90, d = 2.062 Å, intensity 260, hkl 0 0 6
- 2θ 45.70, d = 1.985 Å, intensity 244, hkl 1 1 5
- 2θ 47.22, d = 1.925 Å, intensity 278, hkl 1 5 2

Simulated powder diffractogram of TaCr3Cu2S8 for a wavelength of 1.5418 Å, from a structure optimized by DFT (GGA-PBE).
Kinematic intensities with the Lorentz-polarization factor, no thermal factor.

Cell and atoms:
a b c (Å): 7.7874 5.8227 11.9666
angles (deg): 90.00 90.00 90.00
Space group Pmn2_1 (No. 31)
Asymmetric unit:
Ta1 0.0000 0.2203 0.0000 (multiplicity 2)
Cr1 0.0000 0.1172 0.7704 (multiplicity 2)
Cr2 0.0000 0.5662 0.1684 (multiplicity 2)
Cr3 0.0000 0.7270 0.9632 (multiplicity 2)
Cu1 0.0000 0.1116 0.4220 (multiplicity 2)
Cu2 0.0000 0.5967 0.6225 (multiplicity 2)
S1 0.0000 0.4543 0.3332 (multiplicity 2)
S2 0.0000 0.4831 0.8076 (multiplicity 2)
S3 0.0000 0.9436 0.1417 (multiplicity 2)
S4 0.0000 0.9813 0.6021 (multiplicity 2)
S5 0.2049 0.9831 0.8859 (multiplicity 4)
S6 0.2212 0.4925 0.0564 (multiplicity 4)

Principal peaks in the range 2θ = 10–90°, by angle:
- 2θ 13.57, d = 6.527 Å, intensity 822, hkl 1 0 1
- 2θ 14.81, d = 5.983 Å, intensity 470, hkl 0 0 2
- 2θ 22.84, d = 3.894 Å, intensity 1000, hkl 2 0 0
- 2θ 24.20, d = 3.678 Å, intensity 351, hkl 1 1 2
- 2θ 33.71, d = 2.659 Å, intensity 315, hkl 1 2 1
- 2θ 35.68, d = 2.516 Å, intensity 425, hkl 1 1 4
- 2θ 39.39, d = 2.288 Å, intensity 318, hkl 1 0 5
- 2θ 41.56, d = 2.173 Å, intensity 414, hkl 2 2 2
- 2θ 46.65, d = 1.947 Å, intensity 268, hkl 4 0 0
- 2θ 47.53, d = 1.913 Å, intensity 235, hkl 3 2 1

Simulated powder diffractogram of TiCrCuS4 for a wavelength of 1.5418 Å, from a structure optimized by DFT (GGA-PBE).
Kinematic intensities with the Lorentz-polarization factor, no thermal factor.

Cell and atoms:
a b c (Å): 6.8507 12.3594 5.8728
angles (deg): 90.00 90.00 90.00
Space group Pmmn (No. 59, origin choice 2)
Asymmetric unit:
Ti1 0.0000 0.0000 0.0000 (multiplicity 4)
Cr1 0.2500 0.0030 0.4974 (multiplicity 4)
Cu1 0.2500 0.2500 0.8724 (multiplicity 2)
Cu2 0.2500 0.7500 0.5387 (multiplicity 2)
S1 0.0024 0.1151 0.6608 (multiplicity 8)
S2 0.2500 0.1139 0.1623 (multiplicity 4)
S3 0.2500 0.6127 0.8250 (multiplicity 4)

Principal peaks in the range 2θ = 10–90°, by angle:
- 2θ 14.33, d = 6.180 Å, intensity 419, hkl 0 2 0
- 2θ 21.18, d = 4.194 Å, intensity 708, hkl 1 1 1
- 2θ 29.52, d = 3.026 Å, intensity 326, hkl 1 3 1
- 2θ 33.58, d = 2.669 Å, intensity 448, hkl 2 2 1
- 2θ 37.42, d = 2.403 Å, intensity 584, hkl 2 3 1
- 2θ 37.62, d = 2.391 Å, intensity 505, hkl 0 3 2
- 2θ 42.29, d = 2.137 Å, intensity 1000, hkl 2 4 1
- 2θ 42.47, d = 2.129 Å, intensity 605, hkl 0 4 2
- 2θ 53.50, d = 1.713 Å, intensity 349, hkl 4 0 0
- 2θ 53.95, d = 1.700 Å, intensity 596, hkl 2 0 3

Simulated powder diffractogram of TiCrCuS4 for a wavelength of 1.5418 Å, from a structure optimized by DFT (GGA-PBE).
Kinematic intensities with the Lorentz-polarization factor, no thermal factor.

Cell and atoms:
a b c (Å): 5.8587 3.4568 5.8598
angles (deg): 90.00 92.43 90.00
Space group P2/m (No. 10)
Asymmetric unit:
Ti1 0.0000 0.0000 0.0000 (multiplicity 1)
Cr1 0.0000 0.5000 0.5000 (multiplicity 1)
Cu1 0.5000 0.5000 0.5000 (multiplicity 1)
S1 0.2404 0.0000 0.6706 (multiplicity 2)
S2 0.2409 0.5000 0.1764 (multiplicity 2)

Principal peaks in the range 2θ = 10–90°, by angle:
- 2θ 15.13, d = 5.854 Å, intensity 988, hkl 0 0 1
- 2θ 30.02, d = 2.977 Å, intensity 752, hkl 0 1 1
- 2θ 33.65, d = 2.664 Å, intensity 417, hkl 1 0 -2
- 2θ 34.08, d = 2.631 Å, intensity 710, hkl 1 1 1
- 2θ 42.75, d = 2.115 Å, intensity 566, hkl 2 0 -2
- 2θ 42.86, d = 2.110 Å, intensity 875, hkl 2 1 -1
- 2θ 43.85, d = 2.065 Å, intensity 1000, hkl 2 1 1
- 2θ 44.70, d = 2.027 Å, intensity 401, hkl 2 0 2
- 2θ 52.98, d = 1.728 Å, intensity 387, hkl 0 2 0
- 2θ 53.96, d = 1.699 Å, intensity 756, hkl 0 1 3

Simulated powder diffractogram of TiCrCuS4 for a wavelength of 1.5418 Å, from a structure optimized by DFT (GGA-PBE).
Kinematic intensities with the Lorentz-polarization factor, no thermal factor.

Cell and atoms:
a b c (Å): 5.8485 6.8723 5.9080
angles (deg): 90.00 92.24 90.00
Space group P2 (No. 3)
Asymmetric unit:
Ti1 0.0000 0.0000 0.0000 (multiplicity 1)
Ti2 0.0000 0.2596 0.5000 (multiplicity 1)
Cr1 0.0000 0.4991 0.0000 (multiplicity 1)
Cr2 0.0000 0.7658 0.5000 (multiplicity 1)
Cu1 0.5000 0.2833 0.5000 (multiplicity 1)
Cu2 0.5000 0.7590 0.5000 (multiplicity 1)
S1 0.2323 0.7503 0.1768 (multiplicity 2)
S2 0.2382 0.5128 0.6770 (multiplicity 2)
S3 0.2412 0.2553 0.1730 (multiplicity 2)
S4 0.2490 0.0066 0.6747 (multiplicity 2)

Principal peaks in the range 2θ = 10–90°, by angle:
- 2θ 15.01, d = 5.904 Å, intensity 645, hkl 0 0 1
- 2θ 30.11, d = 2.968 Å, intensity 824, hkl 0 2 1
- 2θ 33.47, d = 2.677 Å, intensity 345, hkl 1 0 -2
- 2θ 34.13, d = 2.627 Å, intensity 799, hkl 1 2 1
- 2θ 42.68, d = 2.118 Å, intensity 633, hkl 2 0 -2
- 2θ 43.00, d = 2.104 Å, intensity 831, hkl 2 2 -1
- 2θ 43.89, d = 2.063 Å, intensity 1000, hkl 2 2 1
- 2θ 44.47, d = 2.037 Å, intensity 453, hkl 2 0 2
- 2θ 53.32, d = 1.718 Å, intensity 394, hkl 0 4 0
- 2θ 53.67, d = 1.708 Å, intensity 788, hkl 0 2 3

Simulated powder diffractogram of TiCrCuS4 for a wavelength of 1.5418 Å, from a structure optimized by DFT (GGA-PBE).
Kinematic intensities with the Lorentz-polarization factor, no thermal factor.

Cell and atoms:
a b c (Å): 5.8996 7.0112 12.5116
angles (deg): 73.93 89.95 89.93
Space group P1 (No. 1)
Asymmetric unit:
Ti1 0.0000 0.0000 0.0000 (multiplicity 1)
Ti2 0.0104 0.4563 0.5093 (multiplicity 1)
Ti3 0.0500 0.4856 0.0190 (multiplicity 1)
Ti4 0.5122 0.7405 0.5163 (multiplicity 1)
Cr1 0.0245 0.9697 0.5109 (multiplicity 1)
Cr2 0.5199 0.2253 0.0131 (multiplicity 1)
Cr3 0.5270 0.2233 0.5131 (multiplicity 1)
Cr4 0.5274 0.7219 0.0114 (multiplicity 1)
Cu1 0.1049 0.9852 0.7693 (multiplicity 1)
Cu2 0.4567 0.4510 0.2640 (multiplicity 1)
Cu3 0.5952 0.4874 0.7546 (multiplicity 1)
Cu4 0.9436 0.9615 0.2588 (multiplicity 1)
S1 0.1801 0.7778 0.3971 (multiplicity 1)
S2 0.1847 0.1630 0.1265 (multiplicity 1)
S3 0.1978 0.2777 0.3964 (multiplicity 1)
S4 0.2032 0.6613 0.1333 (multiplicity 1)
S5 0.3501 0.9264 0.6304 (multiplicity 1)
S6 0.3598 0.0252 0.9014 (multiplicity 1)
S7 0.3615 0.4109 0.6249 (multiplicity 1)
S8 0.3692 0.5346 0.8965 (multiplicity 1)
S9 0.6791 0.5307 0.3971 (multiplicity 1)
S10 0.6826 0.9217 0.1261 (multiplicity 1)
S11 0.6875 0.4168 0.1225 (multiplicity 1)
S12 0.6949 0.0265 0.3958 (multiplicity 1)
S13 0.8468 0.2949 0.8918 (multiplicity 1)
S14 0.8596 0.6636 0.6254 (multiplicity 1)
S15 0.8607 0.1595 0.6279 (multiplicity 1)
S16 0.8627 0.7729 0.8967 (multiplicity 1)

Principal peaks in the range 2θ = 10–90°, by angle:
- 2θ 14.74, d = 6.011 Å, intensity 555, hkl 0 0 2
- 2θ 20.01, d = 4.438 Å, intensity 949, hkl 1 -1 0
- 2θ 22.62, d = 3.931 Å, intensity 674, hkl -1 1 2
- 2θ 33.22, d = 2.697 Å, intensity 681, hkl 1 -2 1
- 2θ 33.30, d = 2.691 Å, intensity 622, hkl -1 2 3
- 2θ 37.31, d = 2.410 Å, intensity 1000, hkl 1 -2 2
- 2θ 37.87, d = 2.376 Å, intensity 801, hkl 2 0 3
- 2θ 42.94, d = 2.106 Å, intensity 488, hkl 2 0 4
- 2θ 42.97, d = 2.105 Å, intensity 487, hkl 2 0 -4
- 2θ 54.02, d = 1.698 Å, intensity 635, hkl 3 2 2

Simulated powder diffractogram of TiCrCuS4 for a wavelength of 1.5418 Å, from a structure optimized by DFT (GGA-PBE).
Kinematic intensities with the Lorentz-polarization factor, no thermal factor.

Cell and atoms:
a b c (Å): 7.1343 9.9165 6.9748
angles (deg): 90.00 90.00 90.00
Space group Ima2 (No. 46)
Asymmetric unit:
Ti1 0.2500 0.2411 0.0000 (multiplicity 4)
Cr1 0.0000 0.0000 0.7738 (multiplicity 4)
Cu1 0.2500 0.6249 0.7799 (multiplicity 4)
S1 0.0090 0.2433 0.7669 (multiplicity 8)
S2 0.2500 0.0017 0.0091 (multiplicity 4)
S3 0.2500 0.0084 0.5430 (multiplicity 4)

Principal peaks in the range 2θ = 10–90°, by angle:
- 2θ 25.33, d = 3.516 Å, intensity 470, hkl 1 2 1
- 2θ 29.53, d = 3.025 Å, intensity 613, hkl 2 1 1
- 2θ 29.79, d = 2.999 Å, intensity 270, hkl 1 3 0
- 2θ 29.91, d = 2.987 Å, intensity 839, hkl 0 3 1
- 2θ 36.02, d = 2.494 Å, intensity 471, hkl 2 0 2
- 2θ 47.14, d = 1.928 Å, intensity 238, hkl 3 1 2
- 2θ 47.60, d = 1.910 Å, intensity 468, hkl 2 1 3
- 2θ 51.22, d = 1.784 Å, intensity 272, hkl 4 0 0
- 2θ 52.02, d = 1.758 Å, intensity 1000, hkl 2 4 2
- 2θ 52.48, d = 1.744 Å, intensity 230, hkl 0 0 4

Simulated powder diffractogram of TiCrCuS4 for a wavelength of 1.5418 Å, from a structure optimized by DFT (GGA-PBE).
Kinematic intensities with the Lorentz-polarization factor, no thermal factor.

Cell and atoms:
a b c (Å): 5.9180 3.4528 11.5030
angles (deg): 90.00 90.27 90.00
Space group P2/m (No. 10)
Asymmetric unit:
Ti1 0.0310 0.0000 0.2461 (multiplicity 2)
Cr1 0.4840 0.5000 0.2551 (multiplicity 2)
Cu1 0.0000 0.0000 0.5000 (multiplicity 1)
Cu2 0.5000 0.5000 0.0000 (multiplicity 1)
S1 0.1669 0.5000 0.6347 (multiplicity 2)
S2 0.1708 0.5000 0.1200 (multiplicity 2)
S3 0.3370 0.0000 0.3776 (multiplicity 2)
S4 0.3411 0.0000 0.8608 (multiplicity 2)

Principal peaks in the range 2θ = 10–90°, by angle:
- 2θ 16.86, d = 5.259 Å, intensity 718, hkl 1 0 1
- 2θ 26.96, d = 3.307 Å, intensity 275, hkl 0 1 1
- 2θ 29.96, d = 2.982 Å, intensity 426, hkl 1 1 0
- 2θ 33.84, d = 2.649 Å, intensity 792, hkl 1 1 -2
- 2θ 34.14, d = 2.626 Å, intensity 288, hkl 2 0 2
- 2θ 43.67, d = 2.073 Å, intensity 817, hkl 1 1 -4
- 2θ 43.79, d = 2.067 Å, intensity 1000, hkl 1 1 4
- 2θ 44.01, d = 2.057 Å, intensity 394, hkl 2 0 4
- 2θ 53.05, d = 1.726 Å, intensity 334, hkl 0 2 0
- 2θ 53.50, d = 1.713 Å, intensity 604, hkl 3 1 0

Simulated powder diffractogram of ZrCrCuS4 for a wavelength of 1.5418 Å, from a structure optimized by DFT (GGA-PBE).
Kinematic intensities with the Lorentz-polarization factor, no thermal factor.

Cell and atoms:
a b c (Å): 5.9257 3.5762 6.0829
angles (deg): 90.00 92.26 90.00
Space group P2/m (No. 10)
Asymmetric unit:
Zr1 0.0000 0.0000 0.0000 (multiplicity 1)
Cr1 0.0000 0.5000 0.5000 (multiplicity 1)
Cu1 0.5000 0.5000 0.5000 (multiplicity 1)
S1 0.2399 0.0000 0.6577 (multiplicity 2)
S2 0.2492 0.5000 0.1885 (multiplicity 2)

Principal peaks in the range 2θ = 10–90°, by angle:
- 2θ 14.96, d = 5.921 Å, intensity 677, hkl 1 0 0
- 2θ 20.52, d = 4.327 Å, intensity 551, hkl 1 0 -1
- 2θ 28.97, d = 3.082 Å, intensity 889, hkl 0 1 1
- 2θ 29.17, d = 3.061 Å, intensity 460, hkl 1 1 0
- 2θ 33.03, d = 2.712 Å, intensity 973, hkl 1 1 1
- 2θ 41.75, d = 2.164 Å, intensity 588, hkl 2 0 -2
- 2θ 41.89, d = 2.157 Å, intensity 958, hkl 2 1 -1
- 2θ 42.77, d = 2.114 Å, intensity 1000, hkl 2 1 1
- 2θ 43.51, d = 2.080 Å, intensity 464, hkl 2 0 2
- 2θ 51.87, d = 1.763 Å, intensity 779, hkl 0 1 3